Pm5SmSc3: theoretical powder XRD pattern (Cu Kα, 1.54184 Å), based on the GGA-PBE geometry in Alexandria.
Intensities are scaled so that the largest is 100.

Atomic structure:
```
Pm5SmSc3
1.0
7.3774 -5.7023 0.0000
7.3774 5.7023 0.0000
-6.1398 0.0000 7.4108
Pm Sm Sc
10 2 6
Direct
0.1124 0.6182 0.2628
0.2289 0.2289 0.2355
0.2473 0.2473 0.5854
0.2470 0.7530 0.0000
0.3818 0.8876 0.7372
0.6182 0.1124 0.2628
0.7530 0.2470 0.0000
0.7527 0.7527 0.4146
0.7711 0.7711 0.7645
0.8876 0.3818 0.7372
0.2759 0.2759 0.9536
0.7241 0.7241 0.0464
0.0000 0.0000 0.5000
0.0065 0.0065 0.8236
0.4865 0.4865 0.6454
0.5000 0.5000 0.0000
0.5135 0.5135 0.3546
0.9935 0.9935 0.1764
```

Top 6 peaks for 5 to 70 degrees two-theta, sorted by position:
2θ 22.09, I 75
2θ 29.66, I 61
2θ 31.37, I 100
2θ 32.76, I 50
2θ 33.27, I 52
2θ 35.30, I 66

=====

Pm3Sm3Sc2: theoretical powder XRD pattern (Cu Kα, 1.54184 Å), based on the GGA-PBE geometry in Alexandria.
Intensities are scaled so that the largest is 100.

Atomic structure:
```
Pm3Sm3Sc2
1.0
5.0086 0.0000 0.0000
0.0000 5.0160 0.0000
0.0000 0.0000 9.9976
Pm Sm Sc
3 3 2
Direct
0.0000 0.0000 0.0000
0.0000 0.0000 0.5000
0.5000 0.5000 0.0000
0.0000 0.5000 0.2504
0.0000 0.5000 0.7496
0.5000 0.5000 0.5000
0.5000 0.0000 0.2503
0.5000 0.0000 0.7497
```

Top 6 peaks for 5 to 70 degrees two-theta, sorted by position:
2θ 30.93, I 100
2θ 35.83, I 34
2θ 35.93, I 17
2θ 51.62, I 35
2θ 61.36, I 28
2θ 61.49, I 14

=====

Pm5Sm3Sc2: theoretical powder XRD pattern (Cu Kα, 1.54184 Å), based on the GGA-PBE geometry in Alexandria.
Intensities are scaled so that the largest is 100.

Atomic structure:
```
Pm5Sm3Sc2
1.0
9.4230 0.0000 0.0000
-4.0059 8.5303 0.0000
-2.7253 -4.2534 7.9686
Pm Sm Sc
10 6 4
Direct
0.0216 0.0745 0.3456
0.1306 0.3806 0.7502
0.2287 0.6760 0.1542
0.3793 0.1290 0.2497
0.4735 0.4272 0.6521
0.5265 0.5728 0.3479
0.6207 0.8710 0.7503
0.7713 0.3240 0.8458
0.8694 0.6194 0.2498
0.9784 0.9255 0.6544
0.0789 0.2296 0.0525
0.2753 0.8216 0.8482
0.3226 0.9732 0.5526
0.6774 0.0268 0.4474
0.7247 0.1784 0.1518
0.9211 0.7704 0.9475
0.1693 0.5233 0.4505
0.4270 0.2801 0.9502
0.5730 0.7199 0.0498
0.8307 0.4767 0.5495
```

Top 6 peaks for 5 to 70 degrees two-theta, sorted by position:
2θ 30.72, I 100
2θ 35.54, I 17
2θ 35.66, I 33
2θ 51.23, I 29
2θ 60.84, I 14
2θ 60.95, I 14

=====

Pm4Sm5Sc3: theoretical powder XRD pattern (Cu Kα, 1.54184 Å), based on the GGA-PBE geometry in Alexandria.
Intensities are scaled so that the largest is 100.

Atomic structure:
```
Pm4Sm5Sc3
1.0
8.0752 -2.9103 0.0000
8.0752 2.9103 0.0000
-4.2309 0.0000 8.2262
Pm Sm Sc
4 5 3
Direct
0.0835 0.0835 0.4436
0.2199 0.2199 0.8799
0.7801 0.7801 0.1201
0.9165 0.9165 0.5564
0.0000 0.0000 0.0000
0.3273 0.3273 0.6179
0.4258 0.4258 0.2886
0.5742 0.5742 0.7114
0.6727 0.6727 0.3821
0.2126 0.2126 0.2310
0.5000 0.5000 0.0000
0.7874 0.7874 0.7690
```

Top 6 peaks for 5 to 70 degrees two-theta, sorted by position:
2θ 29.50, I 59
2θ 29.79, I 50
2θ 30.72, I 100
2θ 31.86, I 70
2θ 32.58, I 68
2θ 34.04, I 43

=====

Pm2Sm5Sc: theoretical powder XRD pattern (Cu Kα, 1.54184 Å), based on the GGA-PBE geometry in Alexandria.
Intensities are scaled so that the largest is 100.

Atomic structure:
```
Pm2Sm5Sc
1.0
5.0574 -7.1926 0.0000
5.0574 7.1926 0.0000
0.0000 0.0000 3.5944
Pm Sm Sc
2 5 1
Direct
0.2495 0.7505 0.0000
0.7505 0.2495 0.0000
0.0000 0.0000 0.0000
0.1354 0.3792 0.5000
0.3792 0.1354 0.5000
0.6208 0.8646 0.5000
0.8646 0.6208 0.5000
0.5000 0.5000 0.0000
```

Top 6 peaks for 5 to 70 degrees two-theta, sorted by position:
2θ 30.51, I 100
2θ 35.30, I 34
2θ 35.50, I 16
2θ 50.93, I 23
2θ 60.41, I 28
2θ 60.67, I 14

=====

Pm7Sm3Sc: theoretical powder XRD pattern (Cu Kα, 1.54184 Å), based on the GGA-PBE geometry in Alexandria.
Intensities are scaled so that the largest is 100.

Atomic structure:
```
Pm7Sm3Sc
1.0
9.6633 -3.5542 0.0000
9.6633 3.5542 0.0000
-5.8499 0.0000 11.2573
Pm Sm Sc
14 6 2
Direct
0.0779 0.5967 0.9800
0.0815 0.5842 0.4736
0.1829 0.8171 0.7500
0.3398 0.3438 0.7258
0.3438 0.3398 0.2258
0.4033 0.9221 0.5200
0.4158 0.9185 0.0264
0.5842 0.0815 0.9736
0.5967 0.0779 0.4800
0.6562 0.6602 0.7742
0.6602 0.6562 0.2742
0.8171 0.1829 0.2500
0.9185 0.4158 0.5264
0.9221 0.4033 0.0200
0.1691 0.1745 0.7697
0.1745 0.1691 0.2697
0.5000 0.5000 0.0000
0.5000 0.5000 0.5000
0.8255 0.8309 0.7303
0.8309 0.8255 0.2303
0.0000 0.0000 0.0000
0.0000 0.0000 0.5000
```

Top 6 peaks for 5 to 70 degrees two-theta, sorted by position:
2θ 29.73, I 40
2θ 31.30, I 53
2θ 31.85, I 100
2θ 32.78, I 34
2θ 33.95, I 47
2θ 50.22, I 26

=====

Pm12Sm5Sc2: theoretical powder XRD pattern (Cu Kα, 1.54184 Å), based on the GGA-PBE geometry in Alexandria.
Intensities are scaled so that the largest is 100.

Atomic structure:
```
Pm12Sm5Sc2
1.0
9.6232 -3.7227 0.0000
9.6232 3.7227 0.0000
-4.4550 0.0000 8.9386
Pm Sm Sc
12 5 2
Direct
0.0051 0.0051 0.2057
0.0755 0.5946 0.5019
0.0889 0.5923 0.1517
0.4054 0.9245 0.4981
0.4077 0.9111 0.8483
0.4927 0.4927 0.6803
0.5073 0.5073 0.3197
0.5923 0.0889 0.1517
0.5946 0.0755 0.5019
0.9111 0.4077 0.8483
0.9245 0.4054 0.4981
0.9949 0.9949 0.7943
0.0000 0.0000 0.5000
0.1738 0.1738 0.1697
0.3252 0.3252 0.8085
0.6748 0.6748 0.1915
0.8262 0.8262 0.8303
0.3051 0.6949 0.0000
0.6949 0.3051 0.0000
```

Top 6 peaks for 5 to 70 degrees two-theta, sorted by position:
2θ 29.59, I 76
2θ 29.98, I 80
2θ 30.37, I 50
2θ 31.15, I 100
2θ 32.24, I 67
2θ 59.14, I 42

=====

TbPmSm5Sc2: theoretical powder XRD pattern (Cu Kα, 1.54184 Å), based on the GGA-PBE geometry in Alexandria.
Intensities are scaled so that the largest is 100.

Atomic structure:
```
TbPmSm5Sc2
1.0
2.8375 -10.8873 0.0000
2.8375 10.8873 0.0000
0.0000 0.0000 9.4616
Tb Pm Sm Sc
2 2 10 4
Direct
0.0976 0.9024 0.5000
0.9024 0.0976 0.0000
0.3164 0.6836 0.1022
0.6836 0.3164 0.6022
0.0325 0.9675 0.8294
0.1083 0.8917 0.1275
0.1951 0.8049 0.7989
0.2331 0.7669 0.4112
0.4899 0.5101 0.0944
0.5101 0.4899 0.5944
0.7669 0.2331 0.9112
0.8049 0.1951 0.2989
0.8917 0.1083 0.6275
0.9675 0.0325 0.3294
0.3658 0.6342 0.7866
0.3858 0.6142 0.4116
0.6142 0.3858 0.9116
0.6342 0.3658 0.2866
```

Top 6 peaks for 5 to 70 degrees two-theta, sorted by position:
2θ 24.87, I 20
2θ 26.30, I 24
2θ 31.53, I 59
2θ 32.08, I 100
2θ 32.76, I 75
2θ 34.22, I 45

=====

Tb2Pm6SmSc: theoretical powder XRD pattern (Cu Kα, 1.54184 Å), based on the GGA-PBE geometry in Alexandria.
Intensities are scaled so that the largest is 100.

Atomic structure:
```
Tb2Pm6SmSc
1.0
4.6219 -7.6218 0.0000
4.6219 7.6218 0.0000
-1.0720 0.0000 9.4042
Tb Pm Sm Sc
4 12 2 2
Direct
0.1942 0.2946 0.4524
0.2946 0.1942 0.9524
0.7054 0.8058 0.0476
0.8058 0.7054 0.5476
0.0113 0.7901 0.8865
0.0609 0.4953 0.6944
0.2099 0.9887 0.6135
0.2629 0.6236 0.0523
0.3764 0.7371 0.4477
0.4953 0.0609 0.1944
0.5047 0.9391 0.8056
0.6236 0.2629 0.5523
0.7371 0.3764 0.9477
0.7901 0.0113 0.3865
0.9391 0.5047 0.3056
0.9887 0.2099 0.1135
0.4758 0.5242 0.7500
0.5242 0.4758 0.2500
0.0808 0.9192 0.2500
0.9192 0.0808 0.7500
```

Top 6 peaks for 5 to 70 degrees two-theta, sorted by position:
2θ 28.37, I 59
2θ 30.23, I 72
2θ 30.87, I 100
2θ 31.02, I 78
2θ 31.29, I 46
2θ 34.08, I 41

=====

PmSm2ThSc: theoretical powder XRD pattern (Cu Kα, 1.54184 Å), based on the GGA-PBE geometry in Alexandria.
Intensities are scaled so that the largest is 100.

Atomic structure:
```
PmSm2ThSc
1.0
7.8842 0.0000 0.0000
0.0000 5.0491 0.0000
-0.0247 0.0000 7.9585
Pm Sm Th Sc
2 4 2 2
Direct
0.2483 0.2500 0.2445
0.7517 0.7500 0.7555
0.1586 0.7500 0.9468
0.3458 0.7500 0.5471
0.6542 0.2500 0.4529
0.8414 0.2500 0.0532
0.0554 0.2500 0.6478
0.9446 0.7500 0.3522
0.4491 0.2500 0.8514
0.5509 0.7500 0.1486
```

Top 6 peaks for 5 to 70 degrees two-theta, sorted by position:
2θ 30.75, I 100
2θ 30.92, I 98
2θ 35.56, I 34
2θ 35.74, I 34
2θ 35.95, I 33
2θ 51.44, I 35

=====

PmSmSc2Tl4: theoretical powder XRD pattern (Cu Kα, 1.54184 Å), based on the GGA-PBE geometry in Alexandria.
Intensities are scaled so that the largest is 100.

Atomic structure:
```
PmSmSc2Tl4
1.0
2.6482 1.5289 8.6647
-2.6482 1.5289 8.6647
0.0000 -3.0579 8.6647
Pm Sm Sc Tl
1 1 2 4
Direct
0.0000 0.0000 0.0000
0.5000 0.5000 0.5000
0.2500 0.2500 0.2500
0.7500 0.7500 0.7500
0.1253 0.1253 0.1253
0.3753 0.3753 0.3753
0.6247 0.6247 0.6247
0.8747 0.8747 0.8747
```

Top 6 peaks for 5 to 70 degrees two-theta, sorted by position:
2θ 20.53, I 7
2θ 23.74, I 14
2θ 33.83, I 100
2θ 48.59, I 18
2θ 60.51, I 28
2θ 60.56, I 9

=====

PmSmTmSc: theoretical powder XRD pattern (Cu Kα, 1.54184 Å), based on the GGA-PBE geometry in Alexandria.
Intensities are scaled so that the largest is 100.

Atomic structure:
```
PmSmTmSc
1.0
6.0627 -2.8224 0.0000
6.0627 2.8224 0.0000
-1.1825 0.0000 3.6029
Pm Sm Tm Sc
1 1 1 1
Direct
0.0000 0.0000 0.0000
0.7256 0.7256 0.2222
0.2641 0.2641 0.7610
0.4916 0.4916 0.4896
```

Top 6 peaks for 5 to 70 degrees two-theta, sorted by position:
2θ 31.05, I 25
2θ 31.70, I 28
2θ 32.41, I 100
2θ 44.97, I 18
2θ 56.11, I 15
2θ 56.93, I 23